This entry pairs a crystal structure of Er7TlS5 with its simulated powder X-ray diffraction pattern. Radiation: Cu Kα (weighted mean of Kα1 and Kα2). Structure: a GGA-PBE-relaxed structure.

Structure:
```
data_Er7TlS5
_chemical_formula_sum 'Er14 Tl2 S10'
_cell_length_a 3.8807
_cell_length_b 23.2473
_cell_length_c 6.7470
_cell_angle_alpha 90.00
_cell_angle_beta 106.66
_cell_angle_gamma 90.00
_space_group_name_H-M_alt 'P 1 21/m 1'
_space_group_IT_number 11
loop_
_space_group_symop_operation_xyz
'x,y,z'
'-x,-y,-z'
'-x,y+1/2,-z'
'x,-y+1/2,z'
loop_
_atom_site_label
_atom_site_type_symbol
_atom_site_fract_x
_atom_site_fract_y
_atom_site_fract_z
Er1 Er 0.0133 0.2500 0.0264
Er2 Er 0.1367 0.5354 0.2736
Er3 Er 0.3255 0.1719 0.6517
Er4 Er 0.4065 0.6099 0.8124
Tl1 Tl 0.3014 0.7500 0.6038
S1 S 0.0435 0.6385 0.0867
S2 S 0.2267 0.0700 0.4539
S3 S 0.5000 0.0000 0.0000
```

Principal peaks in the range 15° ≤ 2θ ≤ 90°, low angle first:
2θ 28.51, rel. 422, (1 4 0)
2θ 30.26, rel. 938, (0 7 1)
2θ 30.80, rel. 467, (1 5 0)
2θ 31.98, rel. 1000, (1 2 1)
2θ 33.15, rel. 545, (1 3 1)
2θ 36.26, rel. 210, (1 7 0)
2θ 42.63, rel. 244, (1 9 0)
2θ 46.48, rel. 381, (0 5 3)
2θ 46.82, rel. 317, (2 0 -1)
2θ 56.76, rel. 323, (2 7 -2)

This entry pairs a crystal structure of Er4Tm3S8 with its simulated powder X-ray diffraction pattern. Radiation: Cu Kα (weighted mean of Kα1 and Kα2). Structure: a GGA-PBE-relaxed structure.

Structure:
```
data_Er4Tm3S8
_chemical_formula_sum 'Er8 Tm6 S16'
_cell_length_a 10.8797
_cell_length_b 10.8808
_cell_length_c 7.6919
_cell_angle_alpha 90.00
_cell_angle_beta 134.99
_cell_angle_gamma 90.00
_space_group_name_H-M_alt 'C 1 2/m 1'
_space_group_IT_number 12
loop_
_space_group_symop_operation_xyz
'x,y,z'
'-x,-y,-z'
'-x,y,-z'
'x,-y,z'
'x+1/2,y+1/2,z'
'-x+1/2,-y+1/2,-z'
'-x+1/2,y+1/2,-z'
'x+1/2,-y+1/2,z'
loop_
_atom_site_label
_atom_site_type_symbol
_atom_site_fract_x
_atom_site_fract_y
_atom_site_fract_z
Er1 Er 0.0000 0.0000 0.0000
Er2 Er 0.0000 0.5000 0.5000
Er3 Er 0.2500 0.2500 0.0000
Tm1 Tm 0.0000 0.5000 0.0000
Tm2 Tm 0.2500 0.2500 0.5000
S1 S 0.0000 0.2485 0.5000
S2 S 0.0000 0.2506 0.0000
S3 S 0.2491 0.0000 0.5014
S4 S 0.2491 0.0000 0.9969
```

Principal peaks in the range 15° ≤ 2θ ≤ 90°, low angle first:
2θ 27.18, rel. 88, (1 3 0)
2θ 28.42, rel. 754, (2 2 0)
2θ 32.93, rel. 1000, (0 4 0)
2θ 47.26, rel. 716, (4 0 0)
2θ 56.07, rel. 369, (2 6 0)
2θ 58.80, rel. 247, (4 4 0)
2θ 69.06, rel. 114, (0 8 0)
2θ 76.30, rel. 150, (6 2 0)
2θ 78.65, rel. 321, (4 0 2)
2θ 87.93, rel. 251, (4 8 0)

This entry pairs a crystal structure of ErTm2S3 with its simulated powder X-ray diffraction pattern. Radiation: Cu Kα (weighted mean of Kα1 and Kα2). Structure: a GGA-PBE-relaxed structure.

Structure:
```
data_ErTm2S3
_chemical_formula_sum 'Er2 Tm4 S6'
_cell_length_a 3.8610
_cell_length_b 5.4308
_cell_length_c 11.5284
_cell_angle_alpha 90.00
_cell_angle_beta 90.00
_cell_angle_gamma 90.00
_space_group_name_H-M_alt 'I m m m'
_space_group_IT_number 71
_space_group_name_Hall '-I 2 2'
loop_
_atom_site_label
_atom_site_type_symbol
_atom_site_fract_x
_atom_site_fract_y
_atom_site_fract_z
Er1 Er 0.0000 0.0000 0.0000
Tm1 Tm 0.0000 0.0000 0.3341
S1 S 0.0000 0.5000 0.0000
S2 S 0.0000 0.5000 0.3320
```

Principal peaks in the range 15° ≤ 2θ ≤ 90°, low angle first:
2θ 28.41, rel. 1000, (1 1 0)
2θ 32.88, rel. 781, (1 0 3)
2θ 32.99, rel. 387, (0 2 0)
2θ 47.28, rel. 698, (1 2 3)
2θ 55.93, rel. 162, (2 1 3)
2θ 56.11, rel. 321, (1 3 0)
2θ 58.68, rel. 146, (2 2 0)
2θ 58.88, rel. 144, (0 2 6)
2θ 78.74, rel. 187, (1 4 3)
2θ 87.98, rel. 147, (2 4 0)

This entry pairs a crystal structure of Er3TmS4 with its simulated powder X-ray diffraction pattern. Radiation: Cu Kα (weighted mean of Kα1 and Kα2). Structure: a GGA-PBE-relaxed structure.

Structure:
```
data_Er3TmS4
_chemical_formula_sum 'Er3 Tm1 S4'
_cell_length_a 5.4569
_cell_length_b 5.4569
_cell_length_c 5.4569
_cell_angle_alpha 90.00
_cell_angle_beta 90.00
_cell_angle_gamma 90.00
_space_group_name_H-M_alt 'P m -3 m'
_space_group_IT_number 221
_space_group_name_Hall '-P 4 2 3'
loop_
_atom_site_label
_atom_site_type_symbol
_atom_site_fract_x
_atom_site_fract_y
_atom_site_fract_z
Er1 Er 0.0000 0.0000 0.5000
Tm1 Tm 0.5000 0.5000 0.5000
S1 S 0.0000 0.0000 0.0000
S2 S 0.0000 0.5000 0.5000
```

Principal peaks in the range 15° ≤ 2θ ≤ 90°, low angle first:
2θ 28.33, rel. 850, (1 1 1)
2θ 32.82, rel. 1000, (2 0 0)
2θ 47.10, rel. 719, (2 2 0)
2θ 55.88, rel. 412, (3 1 1)
2θ 58.60, rel. 249, (2 2 2)
2θ 68.82, rel. 115, (4 0 0)
2θ 76.02, rel. 167, (3 3 1)
2θ 78.37, rel. 322, (4 2 0)
2θ 87.59, rel. 251, (4 2 2)

This entry pairs a crystal structure of Er3Tm5S8 with its simulated powder X-ray diffraction pattern. Radiation: Cu Kα (weighted mean of Kα1 and Kα2). Structure: a GGA-PBE-relaxed structure.

Structure:
```
data_Er3Tm5S8
_chemical_formula_sum 'Er9 Tm15 S24'
_cell_length_a 7.6990
_cell_length_b 7.6990
_cell_length_c 18.8711
_cell_angle_alpha 90.00
_cell_angle_beta 90.00
_cell_angle_gamma 120.00
_space_group_name_H-M_alt 'R -3 m'
_space_group_IT_number 166
_space_group_name_Hall '-R 3 2"'
loop_
_atom_site_label
_atom_site_type_symbol
_atom_site_fract_x
_atom_site_fract_y
_atom_site_fract_z
Er1 Er 0.0000 0.5000 0.0000
Tm1 Tm 0.0000 0.0000 0.0000
Tm2 Tm 0.0000 0.0000 0.5000
Tm3 Tm 0.0000 0.5000 0.5000
S1 S 0.0000 0.0000 0.2492
S2 S 0.0010 0.5005 0.7505
```

Principal peaks in the range 15° ≤ 2θ ≤ 90°, low angle first:
2θ 28.39, rel. 855, (2 0 2)
2θ 32.90, rel. 1000, (0 2 4)
2θ 47.21, rel. 719, (2 2 0)
2θ 56.01, rel. 414, (2 2 6)
2θ 58.74, rel. 248, (4 0 4)
2θ 68.99, rel. 115, (0 4 8)
2θ 76.21, rel. 168, (4 2 2)
2θ 78.57, rel. 322, (2 4 4)
2θ 87.83, rel. 252, (6 0 0)

This entry pairs a crystal structure of Er2Tm3S6 with its simulated powder X-ray diffraction pattern. Radiation: Cu Kα (weighted mean of Kα1 and Kα2). Structure: a GGA-PBE-relaxed structure.

Structure:
```
data_Er2Tm3S6
_chemical_formula_sum 'Er4 Tm6 S12'
_cell_length_a 6.6767
_cell_length_b 11.5168
_cell_length_c 6.6466
_cell_angle_alpha 90.00
_cell_angle_beta 109.50
_cell_angle_gamma 90.00
_space_group_name_H-M_alt 'C 1 2/m 1'
_space_group_IT_number 12
loop_
_space_group_symop_operation_xyz
'x,y,z'
'-x,-y,-z'
'-x,y,-z'
'x,-y,z'
'x+1/2,y+1/2,z'
'-x+1/2,-y+1/2,-z'
'-x+1/2,y+1/2,-z'
'x+1/2,-y+1/2,z'
loop_
_atom_site_label
_atom_site_type_symbol
_atom_site_fract_x
_atom_site_fract_y
_atom_site_fract_z
Er1 Er 0.0000 0.1654 0.0000
Tm1 Tm 0.0000 0.0000 0.5000
Tm2 Tm 0.0000 0.3367 0.5000
S1 S 0.2494 0.1666 0.7476
S2 S 0.2487 0.5000 0.7525
```

Principal peaks in the range 15° ≤ 2θ ≤ 90°, low angle first:
2θ 28.36, rel. 207, (2 0 0)
2θ 28.47, rel. 538, (0 0 2)
2θ 32.96, rel. 1000, (1 3 1)
2θ 47.23, rel. 359, (2 0 2)
2θ 47.37, rel. 355, (1 3 -3)
2θ 56.14, rel. 209, (2 0 -4)
2θ 58.91, rel. 184, (0 0 4)
2θ 69.13, rel. 114, (4 0 -4)
2θ 78.59, rel. 110, (5 3 -3)
2θ 78.76, rel. 107, (3 3 3)

This entry pairs a crystal structure of Er3TmS3 with its simulated powder X-ray diffraction pattern. Radiation: Cu Kα (weighted mean of Kα1 and Kα2). Structure: a GGA-PBE-relaxed structure.

Structure:
```
data_Er3TmS3
_chemical_formula_sum 'Er12 Tm4 S12'
_cell_length_a 10.8021
_cell_length_b 10.8021
_cell_length_c 5.4017
_cell_angle_alpha 90.00
_cell_angle_beta 90.00
_cell_angle_gamma 90.00
_space_group_name_H-M_alt 'P 42/m n m'
_space_group_IT_number 136
_space_group_name_Hall '-P 4n 2n'
loop_
_atom_site_label
_atom_site_type_symbol
_atom_site_fract_x
_atom_site_fract_y
_atom_site_fract_z
Er1 Er 0.1213 0.3731 0.0000
Er2 Er 0.1256 0.1256 0.5000
Tm1 Tm 0.1217 0.8783 0.0000
S1 S 0.1248 0.1248 0.0000
S2 S 0.1256 0.6272 0.0000
```

Principal peaks in the range 15° ≤ 2θ ≤ 90°, low angle first:
2θ 18.36, rel. 20, (1 0 1)
2θ 28.63, rel. 1000, (2 2 1)
2θ 33.17, rel. 948, (0 0 2)
2θ 47.62, rel. 681, (4 0 2)
2θ 56.51, rel. 469, (2 2 3)
2θ 59.26, rel. 235, (4 4 2)
2θ 69.63, rel. 108, (0 0 4)
2θ 76.95, rel. 189, (6 2 3)
2θ 79.33, rel. 303, (4 0 4)
2θ 88.73, rel. 238, (4 4 4)

This entry pairs a crystal structure of ErU4S7 with its simulated powder X-ray diffraction pattern. Radiation: Cu Kα (weighted mean of Kα1 and Kα2). Structure: a GGA-PBE-relaxed structure.

Structure:
```
data_ErU4S7
_chemical_formula_sum 'Er1 U4 S7'
_cell_length_a 3.8884
_cell_length_b 3.8884
_cell_length_c 22.7293
_cell_angle_alpha 90.00
_cell_angle_beta 90.00
_cell_angle_gamma 120.00
_space_group_name_H-M_alt 'P -3 m 1'
_space_group_IT_number 164
_space_group_name_Hall '-P 3 2"'
loop_
_atom_site_label
_atom_site_type_symbol
_atom_site_fract_x
_atom_site_fract_y
_atom_site_fract_z
Er1 Er 0.0000 0.0000 0.0000
U1 U 0.3333 0.6667 0.1409
U2 U 0.3333 0.6667 0.4297
S1 S 0.0000 0.0000 0.2046
S2 S 0.0000 0.0000 0.5000
S3 S 0.3333 0.6667 0.6345
S4 S 0.3333 0.6667 0.9314
```

Principal peaks in the range 15° ≤ 2θ ≤ 90°, low angle first:
2θ 26.76, rel. 451, (0 1 1)
2θ 27.47, rel. 245, (0 0 7)
2θ 29.02, rel. 570, (0 1 3)
2θ 30.87, rel. 1000, (1 0 4)
2θ 35.67, rel. 470, (1 0 6)
2θ 46.72, rel. 423, (1 1 0)
2θ 48.31, rel. 410, (0 1 10)
2θ 55.06, rel. 243, (1 1 7)
2θ 76.43, rel. 192, (1 1 14)
2θ 76.72, rel. 201, (2 1 4)